No. 1
Ce3Pb5: theoretical powder X-ray diffraction pattern (copper Kα), based on the PBE geometry in Alexandria.
No peak broadening, texture or thermal motion is included.

Peak list (10 most intense, 2θ from 5° to 70°, in order of falling intensity)
hkl, 2θ/deg, I_rel
1 1 2, 31.6, 100.0
0 0 4, 34.5, 18.3
0 2 0, 37.4, 16.4
2 0 0, 37.9, 15.9
1 3 2, 63.9, 13.7
1 1 6, 60.0, 13.4
3 1 2, 64.5, 13.3
2 2 4, 66.0, 12.8
0 2 4, 51.8, 11.8
2 0 4, 52.2, 11.5

Structural model:
Cell lengths 4.7505, 4.8082, 10.3876 Å; angles 90.00, 90.00, 90.00 degrees
Fractional coordinates of all 8 atoms:
Ce 0.0000 0.0000 0.0000
Ce 0.5000 0.0000 0.2763
Ce 0.5000 0.0000 0.7237
Pb 0.0000 0.0000 0.5000
Pb 0.0000 0.5000 0.2393
Pb 0.0000 0.5000 0.7607
Pb 0.5000 0.5000 0.0000
Pb 0.5000 0.5000 0.5000

No. 2
Ti2NbGa5Pd2: theoretical powder X-ray diffraction pattern (copper Kα), based on the PBE geometry in Alexandria.
No peak broadening, texture or thermal motion is included.

Peak list (10 most intense, 2θ from 5° to 70°, in order of falling intensity)
hkl, 2θ/deg, I_rel
3 1 1, 38.8, 100.0
3 2 1, 42.7, 41.4
2 1 0, 22.2, 27.5
0 0 2, 44.5, 26.4
4 1 0, 41.6, 14.8
4 2 0, 45.3, 12.1
4 1 2, 62.6, 8.3
4 2 2, 65.4, 7.7
2 2 1, 36.0, 7.3
2 1 2, 50.3, 6.3

Structural model:
Cell lengths 8.9448, 8.9448, 4.0690 Å; angles 90.00, 90.00, 90.00 degrees
Fractional coordinates of all 20 atoms:
Ti 0.1718 0.3282 0.0000
Ti 0.3282 0.8282 0.0000
Ti 0.6718 0.1718 0.0000
Ti 0.8282 0.6718 0.0000
Nb 0.0000 0.0000 0.0000
Nb 0.5000 0.5000 0.0000
Ga 0.0000 0.5000 0.5000
Ga 0.0890 0.8058 0.5000
Ga 0.1942 0.0890 0.5000
Ga 0.3058 0.5890 0.5000
Ga 0.4110 0.3058 0.5000
Ga 0.5000 0.0000 0.5000
Ga 0.5890 0.6942 0.5000
Ga 0.6942 0.4110 0.5000
Ga 0.8058 0.9110 0.5000
Ga 0.9110 0.1942 0.5000
Pd 0.1248 0.6248 0.0000
Pd 0.3752 0.1248 0.0000
Pd 0.6248 0.8752 0.0000
Pd 0.8752 0.3752 0.0000